Entry 1:
VP2NO8: calculated powder diffractogram (Cu Kα, 1.54184 Å), based on DFT lattice parameters and positions (PBE+U).
Intensities are scaled so that the largest is 100.

Structure:
Unit cell a=5.069 b=8.548 c=14.864 alpha=90.00 beta=92.76 gamma=90.00
Space group P2_1/c (No. 14)
Inequivalent atoms, fractional coordinates:
V 0.243 0.038 0.348 [4 per cell]
P 0.236 0.170 0.559 [4 per cell]
P 0.268 0.730 0.678 [4 per cell]
N 0.243 0.524 0.405 [4 per cell]
O 0.034 0.610 0.912 [4 per cell]
O 0.053 0.642 0.198 [4 per cell]
O 0.240 0.600 0.751 [4 per cell]
O 0.242 0.162 0.455 [4 per cell]
O 0.245 0.669 0.584 [4 per cell]
O 0.272 0.161 0.093 [4 per cell]
O 0.455 0.063 0.600 [4 per cell]
O 0.461 0.187 0.297 [4 per cell]

Top 10 peaks for 2θ from 10° to 80°, in order of rising 2θ:
Position (°2θ)  I_rel  index
11.95  100.0  0 1 1
20.74  22.2  0 1 3
21.01  22.8  1 1 -1
21.49  28.3  1 1 1
23.24  18.2  1 1 -2
24.11  25.0  1 1 2
26.17  44.6  0 1 4
29.54  46.2  1 2 -2
30.24  25.0  1 2 2
35.46  20.0  2 0 0

Entry 2:
Li9Mn2Co5O16: calculated powder diffractogram (Cu Kα, 1.54184 Å), based on DFT lattice parameters and positions (PBE+U).
Intensities are scaled so that the largest is 100.

Structure:
Unit cell a=5.124 b=5.896 c=10.073 alpha=104.80 beta=100.70 gamma=90.69
Space group P1 (No. 1)
Inequivalent atoms, fractional coordinates:
Li 0.000 0.000 0.000 [1 per cell]
Li 0.002 0.004 0.496 [1 per cell]
Li 0.006 0.497 0.004 [1 per cell]
Li 0.248 0.881 0.259 [1 per cell]
Li 0.251 0.385 0.256 [1 per cell]
Li 0.498 0.239 0.494 [1 per cell]
Li 0.515 0.756 0.495 [1 per cell]
Li 0.757 0.624 0.745 [1 per cell]
Li 0.760 0.115 0.740 [1 per cell]
Mn 0.258 0.372 0.747 [1 per cell]
Mn 0.506 0.745 0.999 [1 per cell]
Co 0.008 0.494 0.492 [1 per cell]
Co 0.241 0.872 0.738 [1 per cell]
Co 0.505 0.242 0.997 [1 per cell]
Co 0.750 0.629 0.252 [1 per cell]
Co 0.755 0.121 0.258 [1 per cell]
O 0.096 0.676 0.370 [1 per cell]
O 0.112 0.202 0.370 [1 per cell]
O 0.161 0.193 0.872 [1 per cell]
O 0.163 0.667 0.873 [1 per cell]
O 0.369 0.557 0.631 [1 per cell]
O 0.379 0.091 0.641 [1 per cell]
O 0.393 0.037 0.103 [1 per cell]
O 0.404 0.572 0.124 [1 per cell]
O 0.605 0.447 0.885 [1 per cell]
O 0.610 0.915 0.876 [1 per cell]
O 0.626 0.950 0.366 [1 per cell]
O 0.639 0.446 0.367 [1 per cell]
O 0.843 0.292 0.118 [1 per cell]
O 0.853 0.798 0.124 [1 per cell]
O 0.904 0.814 0.632 [1 per cell]
O 0.915 0.331 0.631 [1 per cell]

Top 10 peaks for 2θ from 10° to 80°, in order of rising 2θ:
Position (°2θ)  I_rel  index
18.28  100.0  1 0 -1
35.20  15.5  0 2 1
36.23  12.3  1 0 3
36.42  12.1  0 2 -3
42.46  29.4  -1 2 2
43.87  26.6  2 0 2
44.14  25.8  1 2 -4
47.48  9.0  2 -2 1
62.57  7.4  3 -2 0
62.82  7.4  1 2 4

Entry 3:
Li2V3Si3O10: calculated powder diffractogram (Cu Kα, 1.54184 Å), based on DFT lattice parameters and positions (PBE+U).
Intensities are scaled so that the largest is 100.

Structure:
Unit cell a=15.831 b=4.866 c=10.617 alpha=90.00 beta=92.73 gamma=90.00
Space group C2/c (No. 15)
Inequivalent atoms, fractional coordinates:
Li 0.058 0.193 0.476 [8 per cell]
V 0.151 0.238 0.213 [8 per cell]
V 0.250 0.250 0.500 [4 per cell]
Si 0.000 0.199 0.750 [4 per cell]
Si 0.155 0.317 0.900 [8 per cell]
O 0.041 0.020 0.639 [8 per cell]
O 0.070 0.428 0.812 [8 per cell]
O 0.148 0.460 0.039 [8 per cell]
O 0.154 0.017 0.395 [8 per cell]
O 0.235 0.475 0.836 [8 per cell]

Top 10 peaks for 2θ from 10° to 80°, in order of rising 2θ:
Position (°2θ)  I_rel  index
11.19  72.2  2 0 0
19.71  43.1  2 0 -2
26.04  100.0  3 1 -1
31.58  18.4  1 1 -3
32.02  54.7  1 1 3
34.54  17.9  5 1 -1
35.17  74.2  5 1 1
36.31  42.4  3 1 3
47.51  19.8  4 2 2
53.56  20.8  6 2 -2

Entry 4:
Na3Li3Mn2P2C2O14: calculated powder diffractogram (Cu Kα, 1.54184 Å), based on DFT lattice parameters and positions (PBE+U).
Intensities are scaled so that the largest is 100.

Structure:
Unit cell a=6.740 b=8.808 c=10.204 alpha=91.18 beta=90.22 gamma=90.71
Space group P1 (No. 1)
Inequivalent atoms, fractional coordinates:
Na 0.000 0.000 0.000 [1 per cell]
Na 0.000 0.002 0.500 [1 per cell]
Na 0.000 0.494 0.246 [1 per cell]
Na 0.496 0.495 0.248 [1 per cell]
Na 0.743 0.664 0.503 [1 per cell]
Na 0.743 0.666 0.003 [1 per cell]
Li 0.266 0.845 0.250 [1 per cell]
Li 0.269 0.834 0.753 [1 per cell]
Li 0.471 0.021 0.014 [1 per cell]
Li 0.475 0.021 0.511 [1 per cell]
Li 0.529 0.474 0.738 [1 per cell]
Li 0.965 0.476 0.738 [1 per cell]
Mn 0.247 0.389 0.005 [1 per cell]
Mn 0.248 0.389 0.519 [1 per cell]
Mn 0.741 0.100 0.740 [1 per cell]
Mn 0.742 0.108 0.234 [1 per cell]
P 0.250 0.155 0.270 [1 per cell]
P 0.251 0.157 0.773 [1 per cell]
P 0.741 0.336 0.973 [1 per cell]
P 0.742 0.332 0.485 [1 per cell]
C 0.259 0.704 0.491 [1 per cell]
C 0.259 0.705 0.989 [1 per cell]
C 0.746 0.810 0.259 [1 per cell]
C 0.748 0.795 0.756 [1 per cell]
O 0.058 0.068 0.735 [1 per cell]
O 0.060 0.061 0.237 [1 per cell]
O 0.245 0.600 0.898 [1 per cell]
O 0.246 0.315 0.210 [1 per cell]
O 0.248 0.596 0.400 [1 per cell]
O 0.252 0.324 0.723 [1 per cell]
O 0.253 0.669 0.613 [1 per cell]
O 0.253 0.670 0.113 [1 per cell]
O 0.273 0.166 0.925 [1 per cell]
O 0.273 0.173 0.422 [1 per cell]
O 0.276 0.844 0.453 [1 per cell]
O 0.277 0.846 0.954 [1 per cell]
O 0.422 0.060 0.714 [1 per cell]
O 0.423 0.057 0.214 [1 per cell]
O 0.563 0.432 0.019 [1 per cell]
O 0.564 0.430 0.534 [1 per cell]
O 0.730 0.168 0.536 [1 per cell]
O 0.730 0.171 0.024 [1 per cell]
O 0.737 0.898 0.362 [1 per cell]
O 0.742 0.329 0.818 [1 per cell]
O 0.743 0.880 0.862 [1 per cell]
O 0.745 0.325 0.332 [1 per cell]
O 0.748 0.870 0.143 [1 per cell]
O 0.749 0.647 0.763 [1 per cell]
O 0.750 0.861 0.643 [1 per cell]
O 0.752 0.663 0.270 [1 per cell]
O 0.931 0.419 0.537 [1 per cell]
O 0.931 0.422 0.020 [1 per cell]

Top 10 peaks for 2θ from 10° to 80°, in order of rising 2θ:
Position (°2θ)  I_rel  index
10.04  70.5  0 1 0
19.94  23.0  0 1 -2
20.30  21.4  0 1 2
26.46  100.0  2 0 0
33.29  25.3  2 -2 0
33.40  16.6  2 1 -2
34.95  13.8  0 3 -2
35.19  34.4  0 0 4
37.93  15.4  -1 3 2
54.47  20.8  4 0 0

Entry 5:
KMnPCO7: calculated powder diffractogram (Cu Kα, 1.54184 Å), based on DFT lattice parameters and positions (PBE+U).
Intensities are scaled so that the largest is 100.

Structure:
Unit cell a=5.403 b=6.211 c=10.009 alpha=90.00 beta=91.29 gamma=90.00
Space group P2_1 (No. 4)
Inequivalent atoms, fractional coordinates:
K 0.245 0.000 0.265 [2 per cell]
Mn 0.226 0.137 0.854 [2 per cell]
P 0.274 0.641 0.943 [2 per cell]
C 0.281 0.162 0.612 [2 per cell]
O 0.065 0.151 0.670 [2 per cell]
O 0.107 0.645 0.064 [2 per cell]
O 0.221 0.831 0.844 [2 per cell]
O 0.224 0.447 0.847 [2 per cell]
O 0.312 0.188 0.491 [2 per cell]
O 0.448 0.140 0.014 [2 per cell]
O 0.462 0.145 0.703 [2 per cell]

Top 10 peaks for 2θ from 10° to 80°, in order of rising 2θ:
Position (°2θ)  I_rel  index
16.80  93.4  0 1 1
18.49  32.7  1 0 -1
18.84  46.4  1 0 1
21.80  100.0  1 1 0
23.97  76.0  1 0 -2
28.48  54.9  1 1 2
28.75  95.6  0 2 0
31.20  38.0  1 0 -3
33.17  51.2  2 0 0
44.70  40.9  0 3 1

Entry 6:
MgVF5: calculated powder diffractogram (Cu Kα, 1.54184 Å), based on DFT lattice parameters and positions (PBE+U).
Intensities are scaled so that the largest is 100.

Structure:
Unit cell a=5.192 b=9.772 c=7.566 alpha=90.00 beta=110.36 gamma=90.00
Space group P2_1/c (No. 14)
Inequivalent atoms, fractional coordinates:
Mg 0.025 0.012 0.248 [4 per cell]
V 0.396 0.247 0.602 [4 per cell]
F 0.106 0.111 0.578 [4 per cell]
F 0.140 0.105 0.991 [4 per cell]
F 0.291 0.632 0.347 [4 per cell]
F 0.335 0.179 0.336 [4 per cell]
F 0.351 0.599 0.800 [4 per cell]

Top 10 peaks for 2θ from 10° to 80°, in order of rising 2θ:
Position (°2θ)  I_rel  index
18.17  17.0  0 2 0
20.38  58.1  1 1 0
25.83  100.0  1 2 0
26.74  64.8  0 1 2
27.03  54.0  1 1 -2
40.60  18.1  1 2 -3
46.58  39.6  2 3 0
48.11  26.8  1 0 -4
52.53  27.6  1 4 2
53.05  35.3  2 4 -2